Starting from a cell relaxed with PBE, the powder diffraction line list of Y2Al4CdAu3 was simulated for CuKα.

Atomic structure:
Cell: 4.291 4.291 10.993 Å, 90.00 90.00 90.00°
Space group P-4m2 (No. 115)
Symmetry-distinct sites (fractional):
Y1 0.000 0.500 0.247 (multiplicity 2)
Al1 0.000 0.000 0.000 (multiplicity 1)
Al2 0.000 0.500 0.644 (multiplicity 2)
Al3 0.500 0.500 0.000 (multiplicity 1)
Cd1 0.000 0.000 0.500 (multiplicity 1)
Au1 0.000 0.500 0.868 (multiplicity 2)
Au2 0.500 0.500 0.500 (multiplicity 1)

Main lines, by angle (10° ≤ 2θ ≤ 90°):
2θ 24.3, I = 45; 2θ 26.4, I = 62; 2θ 30.6, I = 90; 2θ 32.1, I = 66; 2θ 33.7, I = 100; 2θ 42.1, I = 76; 2θ 44.5, I = 52; 2θ 46.4, I = 38; 2θ 53.9, I = 31; 2θ 64.5, I = 28

Starting from a cell relaxed with PBE, the powder diffraction line list of Tb12Dy2Er5 was simulated for CuKα.

Atomic structure:
Cell: 6.739 8.574 11.708 Å, 105.28 103.39 103.79°
Space group P-1 (No. 2)
Symmetry-distinct sites (fractional):
Tb1 0.025 0.140 0.203 (multiplicity 2)
Tb2 0.090 0.356 0.534 (multiplicity 2)
Tb3 0.190 0.797 0.150 (multiplicity 2)
Tb4 0.296 0.200 0.763 (multiplicity 2)
Tb5 0.323 0.381 0.071 (multiplicity 2)
Tb6 0.359 0.581 0.376 (multiplicity 2)
Dy1 0.238 0.999 0.454 (multiplicity 2)
Er1 0.145 0.559 0.852 (multiplicity 2)
Er2 0.416 0.788 0.689 (multiplicity 2)
Er3 0.500 0.000 0.000 (multiplicity 1)

Main lines, by angle (10° ≤ 2θ ≤ 90°):
2θ 30.0, I = 52; 2θ 31.4, I = 29; 2θ 31.6, I = 73; 2θ 32.0, I = 98; 2θ 32.0, I = 100; 2θ 32.6, I = 96; 2θ 32.7, I = 92; 2θ 33.5, I = 41; 2θ 47.9, I = 22; 2θ 52.9, I = 23

Starting from a cell relaxed with PBE, the powder diffraction line list of RbScCdBr6 was simulated for CuKα.

Atomic structure:
Cell: 7.1578 7.1578 15.2340 Å, 90.00 90.00 120.00°
Space group P-31c (No. 163)
Symmetry-distinct sites (fractional):
Rb1 0.0000 0.0000 0.0000 (multiplicity 2)
Sc1 0.3333 0.6667 0.2500 (multiplicity 2)
Cd1 0.3333 0.6667 0.7500 (multiplicity 2)
Br1 0.0145 0.3835 0.1465 (multiplicity 12)

Main lines, by angle (10° ≤ 2θ ≤ 90°):
2θ 11.6, I = 36; 2θ 18.5, I = 62; 2θ 27.5, I = 100; 2θ 34.4, I = 88; 2θ 40.3, I = 26; 2θ 43.7, I = 24; 2θ 43.8, I = 37; 2θ 54.6, I = 13; 2θ 54.7, I = 18; 2θ 56.8, I = 14